1.
Computed XRD peak list of Ba2CrRh for λ = 1.5418 Å (Cu Kα), from a cell relaxed with GGA-PBE.
Peak positions follow from Bragg's law for the DFT cell and can differ from measured ones.

```
Ba2CrRh
1.0
-5.915 5.915 2.406
5.915 -5.915 2.406
5.915 5.915 -2.406
Ba Cr Rh
4 2 2
Cartesian
0.875 2.958 0.601
-2.958 5.040 1.804
-0.875 8.873 0.601
2.958 6.791 1.804
5.915 0.000 1.203
0.000 0.000 2.406
0.000 0.000 0.000
0.000 5.915 1.203
```

Peak list (12 most intense, 10° ≤ 2θ ≤ 90°, by angle)
two_theta	I/Imax
14.98	50
19.92	100
23.78	98
25.02	86
30.22	49
33.04	27
33.89	85
36.46	72
38.96	30
40.48	30
44.79	30
50.08	33


2.
Computed XRD peak list of CuAs2S3 for λ = 1.5418 Å (Cu Kα), from a cell relaxed with GGA-PBE.
Peak positions follow from Bragg's law for the DFT cell and can differ from measured ones.

```
CuAs2S3
1.0
5.326 -4.393 0.000
5.326 4.393 0.000
0.000 0.000 5.624
Cu As S
2 4 6
Cartesian
5.326 3.051 2.812
5.326 -3.051 0.000
3.726 1.654 0.373
6.925 1.654 0.373
3.726 -1.654 3.184
6.925 -1.654 3.184
5.326 3.415 0.498
3.583 1.623 3.333
7.068 1.623 3.333
3.583 -1.623 0.521
7.068 -1.623 0.521
5.326 -3.415 3.309
```

Peak list (12 most intense, 10° ≤ 2θ ≤ 90°, by angle)
two_theta	I/Imax
20.22	100
25.74	31
27.09	69
31.49	53
31.83	90
38.00	33
39.91	85
42.27	32
44.28	17
51.48	21
51.92	63
61.81	20